Record 1
The following is a theoretical powder XRD pattern of Ti3MoOs2. It was derived from the PBE geometry in Alexandria, using a wavelength of 1.5418 Å.
Kinematic intensities with the Lorentz-polarization factor, no thermal factor.

The 8 most intense peaks (10 to 90 degrees two-theta), in order of rising 2θ:
| 2θ (°) | Rel. int. |
| --- | --- |
| 28.39 | 19 |
| 28.79 | 36 |
| 40.87 | 100 |
| 41.17 | 49 |
| 50.76 | 16 |
| 59.63 | 16 |
| 74.23 | 17 |
| 74.83 | 33 |

Structural model:
Cell: 3.1012 3.1012 9.4315 Å, 90.00 90.00 90.00°
Atoms (fractional coordinates):
Ti 0.0000 0.0000 0.0000
Ti 0.0000 0.0000 0.3283
Ti 0.0000 0.0000 0.6717
Mo 0.5000 0.5000 0.5000
Os 0.5000 0.5000 0.1639
Os 0.5000 0.5000 0.8361


Record 2
The following is a theoretical powder XRD pattern of Ti4MoOs2. It was derived from the PBE geometry in Alexandria, using a wavelength of 1.5418 Å.
Kinematic intensities with the Lorentz-polarization factor, no thermal factor.

The 8 most intense peaks (10 to 90 degrees two-theta), in order of rising 2θ:
| 2θ (°) | Rel. int. |
| --- | --- |
| 20.25 | 54 |
| 28.80 | 24 |
| 35.95 | 26 |
| 41.18 | 52 |
| 41.61 | 100 |
| 59.64 | 17 |
| 75.34 | 33 |
| 76.22 | 16 |

Structural model:
Cell: 6.2008 6.2008 6.0801 Å, 90.00 90.00 90.00°
Atoms (fractional coordinates):
Ti 0.2500 0.2500 0.2500
Ti 0.2500 0.2500 0.7500
Ti 0.2500 0.7500 0.2500
Ti 0.2500 0.7500 0.7500
Ti 0.7500 0.2500 0.2500
Ti 0.7500 0.2500 0.7500
Ti 0.7500 0.7500 0.2500
Ti 0.7500 0.7500 0.7500
Mo 0.0000 0.0000 0.0000
Mo 0.5000 0.5000 0.5000
Os 0.0000 0.5000 0.0000
Os 0.0000 0.5000 0.5000
Os 0.5000 0.0000 0.0000
Os 0.5000 0.0000 0.5000


Record 3
The following is a theoretical powder XRD pattern of TlMo2Os. It was derived from the PBE geometry in Alexandria, using a wavelength of 1.5418 Å.
Kinematic intensities with the Lorentz-polarization factor, no thermal factor.

The 8 most intense peaks (10 to 90 degrees two-theta), in order of rising 2θ:
| 2θ (°) | Rel. int. |
| --- | --- |
| 21.62 | 13 |
| 38.14 | 100 |
| 44.07 | 14 |
| 44.47 | 34 |
| 64.40 | 19 |
| 64.70 | 11 |
| 77.66 | 25 |
| 81.62 | 10 |

Structural model:
Cell: 2.8814 2.8814 8.2194 Å, 90.00 90.00 90.00°
Atoms (fractional coordinates):
Tl 0.0000 0.0000 0.0000
Mo 0.5000 0.5000 0.2803
Mo 0.5000 0.5000 0.7197
Os 0.0000 0.0000 0.5000


Record 4
The following is a theoretical powder XRD pattern of V8Mo3Os. It was derived from the PBE geometry in Alexandria, using a wavelength of 1.5418 Å.
Kinematic intensities with the Lorentz-polarization factor, no thermal factor.

The 8 most intense peaks (10 to 90 degrees two-theta), in order of rising 2θ:
| 2θ (°) | Rel. int. |
| --- | --- |
| 20.54 | 27 |
| 23.31 | 23 |
| 35.98 | 51 |
| 39.29 | 38 |
| 42.52 | 100 |
| 43.32 | 35 |
| 47.67 | 21 |
| 69.18 | 23 |

Structural model:
Cell: 4.9922 4.9922 8.1138 Å, 90.00 90.00 120.00°
Atoms (fractional coordinates):
V 0.1720 0.3439 0.2480
V 0.1720 0.8280 0.2480
V 0.3333 0.6667 0.9480
V 0.3439 0.1720 0.7520
V 0.6561 0.8280 0.2480
V 0.6667 0.3333 0.0520
V 0.8280 0.1720 0.7520
V 0.8280 0.6561 0.7520
Mo 0.0000 0.0000 0.5000
Mo 0.3333 0.6667 0.5599
Mo 0.6667 0.3333 0.4401
Os 0.0000 0.0000 0.0000


Record 5
The following is a theoretical powder XRD pattern of Mo6OsW3. It was derived from the PBE geometry in Alexandria, using a wavelength of 1.5418 Å.
Kinematic intensities with the Lorentz-polarization factor, no thermal factor.

The 8 most intense peaks (10 to 90 degrees two-theta), in order of rising 2θ:
| 2θ (°) | Rel. int. |
| --- | --- |
| 37.17 | 36 |
| 39.13 | 100 |
| 39.73 | 60 |
| 41.05 | 53 |
| 42.76 | 34 |
| 44.21 | 34 |
| 47.50 | 24 |
| 47.61 | 32 |

Structural model:
Cell: 6.6134 6.6134 7.7060 Å, 90.00 90.00 94.04°
Atoms (fractional coordinates):
Mo 0.0503 0.3093 0.2738
Mo 0.0862 0.9138 0.5000
Mo 0.2210 0.7790 0.9942
Mo 0.2765 0.3921 0.0039
Mo 0.3093 0.0503 0.7738
Mo 0.3921 0.2765 0.5039
Mo 0.6079 0.7235 0.0039
Mo 0.6907 0.9497 0.2738
Mo 0.7235 0.6079 0.5039
Mo 0.7790 0.2210 0.4942
Mo 0.9138 0.0862 0.0000
Mo 0.9497 0.6907 0.7738
Os 0.3591 0.6409 0.6743
Os 0.6409 0.3591 0.1743
W 0.0446 0.3182 0.7224
W 0.3182 0.0446 0.2224
W 0.3541 0.6459 0.3413
W 0.6459 0.3541 0.8413
W 0.6818 0.9554 0.7224
W 0.9554 0.6818 0.2224


Record 6
The following is a theoretical powder XRD pattern of ZrMo3Os. It was derived from the PBE geometry in Alexandria, using a wavelength of 1.5418 Å.
Kinematic intensities with the Lorentz-polarization factor, no thermal factor.

The 8 most intense peaks (10 to 90 degrees two-theta), in order of rising 2θ:
| 2θ (°) | Rel. int. |
| --- | --- |
| 18.73 | 65 |
| 26.61 | 51 |
| 32.74 | 25 |
| 37.99 | 100 |
| 42.68 | 32 |
| 46.98 | 22 |
| 54.81 | 68 |
| 68.62 | 23 |

Structural model:
Cell: 4.7376 4.7376 4.7376 Å, 90.00 90.00 90.00°
Atoms (fractional coordinates):
Zr 0.0000 0.0000 0.0000
Mo 0.0000 0.5000 0.5000
Mo 0.5000 0.0000 0.5000
Mo 0.5000 0.5000 0.0000
Os 0.5000 0.5000 0.5000


Record 7
The following is a theoretical powder XRD pattern of Mo3P. It was derived from the PBE geometry in Alexandria, using a wavelength of 1.5418 Å.
Kinematic intensities with the Lorentz-polarization factor, no thermal factor.

The 8 most intense peaks (10 to 90 degrees two-theta), in order of rising 2θ:
| 2θ (°) | Rel. int. |
| --- | --- |
| 32.96 | 25 |
| 37.81 | 93 |
| 38.80 | 43 |
| 39.36 | 57 |
| 40.99 | 31 |
| 42.18 | 100 |
| 45.60 | 30 |
| 67.28 | 36 |

Structural model:
Cell: 7.3725 7.3725 7.3725 Å, 96.21 96.21 141.61°
Atoms (fractional coordinates):
Mo 0.0000 0.3549 0.3549
Mo 0.0000 0.6451 0.6451
Mo 0.0678 0.4695 0.0000
Mo 0.1400 0.1400 0.8148
Mo 0.3252 0.3252 0.1852
Mo 0.3549 0.0000 0.3549
Mo 0.4695 0.0678 0.0000
Mo 0.5305 0.5305 0.5983
Mo 0.6451 0.0000 0.6451
Mo 0.6748 0.8600 0.0000
Mo 0.8600 0.6748 0.0000
Mo 0.9322 0.9322 0.4017
P 0.2082 0.5000 0.7082
P 0.5000 0.2082 0.7082
P 0.5000 0.7918 0.2918
P 0.7918 0.5000 0.2918


Record 8
The following is a theoretical powder XRD pattern of Mo12P. It was derived from the PBE geometry in Alexandria, using a wavelength of 1.5418 Å.
Kinematic intensities with the Lorentz-polarization factor, no thermal factor.

The 8 most intense peaks (10 to 90 degrees two-theta), in order of rising 2θ:
| 2θ (°) | Rel. int. |
| --- | --- |
| 36.50 | 71 |
| 36.80 | 28 |
| 40.23 | 100 |
| 41.07 | 92 |
| 43.20 | 50 |
| 45.48 | 39 |
| 67.63 | 21 |
| 68.62 | 20 |

Structural model:
Cell: 7.5662 7.5662 7.5662 Å, 80.44 80.44 80.44°
Atoms (fractional coordinates):
Mo 0.0468 0.8665 0.2111
Mo 0.1582 0.3295 0.5123
Mo 0.1606 0.7376 0.8580
Mo 0.1691 0.6564 0.5190
Mo 0.1758 0.9964 0.5120
Mo 0.1948 0.3829 0.8623
Mo 0.2111 0.0468 0.8665
Mo 0.3295 0.5123 0.1582
Mo 0.3829 0.8623 0.1948
Mo 0.4902 0.8010 0.5403
Mo 0.5123 0.1582 0.3295
Mo 0.5120 0.1758 0.9964
Mo 0.5190 0.1691 0.6564
Mo 0.5403 0.4902 0.8010
Mo 0.5634 0.8225 0.8690
Mo 0.6564 0.5190 0.1691
Mo 0.7376 0.8580 0.1606
Mo 0.8010 0.5403 0.4902
Mo 0.8225 0.8690 0.5634
Mo 0.8580 0.1606 0.7376
Mo 0.8623 0.1948 0.3829
Mo 0.8665 0.2111 0.0468
Mo 0.8690 0.5634 0.8225
Mo 0.9964 0.5120 0.1758
P 0.1860 0.1860 0.1860
P 0.4732 0.4732 0.4732


Record 9
The following is a theoretical powder XRD pattern of MoP. It was derived from the PBE geometry in Alexandria, using a wavelength of 1.5418 Å.
Kinematic intensities with the Lorentz-polarization factor, no thermal factor.

The 8 most intense peaks (10 to 90 degrees two-theta), in order of rising 2θ:
| 2θ (°) | Rel. int. |
| --- | --- |
| 28.82 | 59 |
| 31.78 | 33 |
| 36.76 | 60 |
| 42.82 | 100 |
| 49.37 | 37 |
| 57.19 | 25 |
| 69.94 | 17 |
| 78.87 | 19 |

Structural model:
Cell: 3.2216 3.2216 11.2628 Å, 90.00 90.00 90.00°
Atoms (fractional coordinates):
Mo 0.0000 0.0000 0.0000
Mo 0.0000 0.5000 0.2500
Mo 0.5000 0.0000 0.7500
Mo 0.5000 0.5000 0.5000
P 0.0000 0.0000 0.5824
P 0.0000 0.5000 0.8324
P 0.5000 0.0000 0.3324
P 0.5000 0.5000 0.0824


Record 10
The following is a theoretical powder XRD pattern of Mo8P5. It was derived from the PBE geometry in Alexandria, using a wavelength of 1.5418 Å.
Kinematic intensities with the Lorentz-polarization factor, no thermal factor.

The 8 most intense peaks (10 to 90 degrees two-theta), in order of rising 2θ:
| 2θ (°) | Rel. int. |
| --- | --- |
| 34.13 | 46 |
| 34.47 | 67 |
| 34.68 | 59 |
| 40.37 | 100 |
| 40.48 | 58 |
| 40.70 | 49 |
| 41.40 | 96 |
| 57.48 | 43 |

Structural model:
Cell: 6.5762 3.2065 9.4696 Å, 90.00 109.36 90.00°
Atoms (fractional coordinates):
Mo 0.0000 0.0000 0.0000
Mo 0.0074 0.0000 0.3217
Mo 0.1877 0.5000 0.7897
Mo 0.3993 0.5000 0.5193
Mo 0.4413 0.0000 0.2642
Mo 0.5612 0.0000 0.7918
Mo 0.6693 0.5000 0.0743
Mo 0.7926 0.0000 0.5679
P 0.1464 0.5000 0.1944
P 0.1722 0.0000 0.5889
P 0.3738 0.0000 0.9963
P 0.7370 0.5000 0.3637
P 0.8192 0.5000 0.7827


Record 11
The following is a theoretical powder XRD pattern of Mo12P. It was derived from the PBE geometry in Alexandria, using a wavelength of 1.5418 Å.
Kinematic intensities with the Lorentz-polarization factor, no thermal factor.

The 8 most intense peaks (10 to 90 degrees two-theta), in order of rising 2θ:
| 2θ (°) | Rel. int. |
| --- | --- |
| 35.11 | 25 |
| 36.17 | 27 |
| 37.44 | 48 |
| 38.94 | 40 |
| 39.90 | 100 |
| 42.45 | 42 |
| 44.71 | 23 |
| 45.77 | 33 |

Structural model:
Cell: 7.4786 7.4786 7.4786 Å, 93.40 93.40 93.40°
Atoms (fractional coordinates):
Mo 0.0476 0.6029 0.9132
Mo 0.1367 0.4664 0.2456
Mo 0.1508 0.7614 0.5328
Mo 0.1912 0.9389 0.8637
Mo 0.2210 0.2880 0.8615
Mo 0.2456 0.1367 0.4664
Mo 0.2880 0.8615 0.2210
Mo 0.3396 0.4732 0.6173
Mo 0.4051 0.5987 0.9847
Mo 0.4664 0.2456 0.1367
Mo 0.4732 0.6173 0.3396
Mo 0.4950 0.8123 0.6927
Mo 0.5328 0.1508 0.7614
Mo 0.5987 0.9847 0.4051
Mo 0.6029 0.9132 0.0476
Mo 0.6173 0.3396 0.4732
Mo 0.6927 0.4950 0.8123
Mo 0.7614 0.5328 0.1508
Mo 0.8123 0.6927 0.4950
Mo 0.8615 0.2210 0.2880
Mo 0.8637 0.1912 0.9389
Mo 0.9132 0.0476 0.6029
Mo 0.9389 0.8637 0.1912
Mo 0.9847 0.4051 0.5987
P 0.1436 0.1436 0.1436
P 0.8390 0.8390 0.8390


Record 12
The following is a theoretical powder XRD pattern of MoP5Pb2. It was derived from the PBE geometry in Alexandria, using a wavelength of 1.5418 Å.
Kinematic intensities with the Lorentz-polarization factor, no thermal factor.

The 8 most intense peaks (10 to 90 degrees two-theta), in order of rising 2θ:
| 2θ (°) | Rel. int. |
| --- | --- |
| 20.84 | 68 |
| 23.33 | 38 |
| 24.44 | 100 |
| 26.70 | 60 |
| 32.94 | 40 |
| 37.20 | 58 |
| 39.30 | 59 |
| 42.42 | 38 |

Structural model:
Cell: 8.5714 8.5714 9.4228 Å, 113.81 113.81 36.99°
Atoms (fractional coordinates):
Mo 0.1983 0.1983 0.2236
Mo 0.8017 0.8017 0.7764
P 0.1308 0.1308 0.3890
P 0.1575 0.5527 0.9790
P 0.3034 0.6966 0.5000
P 0.3419 0.3419 0.4283
P 0.4473 0.8425 0.0210
P 0.5527 0.1575 0.9790
P 0.6581 0.6581 0.5717
P 0.6966 0.3034 0.5000
P 0.8425 0.4473 0.0210
P 0.8692 0.8692 0.6110
Pb 0.1628 0.1628 0.7441
Pb 0.4480 0.4480 0.7684
Pb 0.5520 0.5520 0.2316
Pb 0.8372 0.8372 0.2559